Record 1
This entry pairs a crystal structure of La2Ga4CoSn2 with its simulated X-ray diffraction stick pattern. Radiation: Cu Kα (λ = 1.5418 Å). Structure: the GGA-PBE geometry in Alexandria.
Lines closer than 0.1° are merged.

Structure:
Cell lengths 6.5204, 6.5204, 9.1609 Å; angles 90.00, 90.00, 90.00 degrees
Space group I4/mmm (No. 139)
Asymmetric unit:
La 0.0000 0.5000 0.2500 [4 per cell]
Ga 0.2316 0.2316 0.0000 [8 per cell]
Co 0.0000 0.0000 0.5000 [2 per cell]
Sn 0.0000 0.0000 0.2178 [4 per cell]

Top 10 peaks for 2θ = 5–70°, sorted by position:
2θ (°)	I/Imax	index
27.38	19	2 0 0
32.37	6	1 0 3
33.75	100	2 0 2
39.07	47	2 2 0
39.34	20	0 0 4
42.88	11	2 1 3
56.45	15	4 0 0
56.65	26	2 2 4
67.41	25	4 2 2
67.77	9	2 0 6



Record 2
This entry pairs a crystal structure of AcTbIrO6 with its simulated X-ray diffraction stick pattern. Radiation: Cu Kα (λ = 1.5418 Å). Structure: the GGA-PBE geometry in Alexandria.
Lines closer than 0.1° are merged.

Structure:
Cell lengths 5.5772, 5.5772, 5.3031 Å; angles 90.00, 90.00, 120.00 degrees
Space group P312 (No. 149)
Asymmetric unit:
Ac 0.0000 0.0000 0.0000 [1 per cell]
Tb 0.6667 0.3333 0.5000 [1 per cell]
Ir 0.3333 0.6667 0.5000 [1 per cell]
O 0.0410 0.3813 0.2880 [6 per cell]

Top 10 peaks for 2θ = 5–70°, sorted by position:
2θ (°)	I/Imax	index
24.94	100	1 0 1
32.10	45	1 1 0
33.81	11	0 0 2
41.07	26	2 0 1
47.31	42	1 1 2
53.05	26	2 1 1
55.34	11	1 0 3
57.22	13	3 0 0
65.43	7	2 0 3
68.14	11	3 0 2